Simulated X-ray powder pattern of UMo2O12 for a wavelength of 1.5418 Å, from a DFT-relaxed cell (GGA+U, the Materials Project).
Intensities are scaled so that the largest is 1000.

Atomic structure:
```
UMo2O12
1.0
13.680 0.000 0.000
0.000 6.666 0.000
0.000 0.000 11.627
U Mo O
4 8 48
direct
0.003 0.190 0.000 U
0.497 0.190 0.500 U
0.503 0.810 0.000 U
0.997 0.810 0.500 U
0.042 0.335 0.658 Mo
0.043 0.341 0.343 Mo
0.457 0.341 0.843 Mo
0.458 0.335 0.158 Mo
0.542 0.665 0.658 Mo
0.543 0.659 0.343 Mo
0.957 0.659 0.843 Mo
0.958 0.665 0.158 Mo
0.001 0.096 0.377 O
0.001 0.648 0.317 O
0.002 0.358 0.184 O
0.005 0.086 0.625 O
0.016 0.440 0.501 O
0.128 0.819 0.500 O
0.134 0.201 0.001 O
0.166 0.321 0.664 O
0.168 0.328 0.339 O
0.186 0.744 0.166 O
0.198 0.819 0.789 O
0.224 0.871 0.237 O
0.276 0.871 0.737 O
0.302 0.819 0.289 O
0.314 0.744 0.666 O
0.332 0.328 0.839 O
0.334 0.321 0.164 O
0.366 0.201 0.501 O
0.372 0.819 0.000 O
0.484 0.440 0.001 O
0.495 0.086 0.125 O
0.498 0.358 0.684 O
0.499 0.096 0.877 O
0.499 0.648 0.817 O
0.501 0.352 0.317 O
0.501 0.904 0.377 O
0.502 0.642 0.184 O
0.505 0.914 0.625 O
0.516 0.560 0.501 O
0.628 0.181 0.500 O
0.634 0.799 0.001 O
0.666 0.679 0.664 O
0.668 0.672 0.339 O
0.686 0.256 0.166 O
0.698 0.181 0.789 O
0.724 0.129 0.237 O
0.776 0.129 0.737 O
0.802 0.181 0.289 O
0.814 0.256 0.666 O
0.832 0.672 0.839 O
0.834 0.679 0.164 O
0.866 0.799 0.501 O
0.872 0.181 0.000 O
0.984 0.560 0.001 O
0.995 0.914 0.125 O
0.998 0.642 0.684 O
0.999 0.352 0.817 O
0.999 0.904 0.877 O
```

Most intense lines, 15° ≤ 2θ ≤ 90°, most intense first:
2θ (°), d [Å], intensity, index
27.41, 3.254, 1000, 1 1 3
28.61, 3.120, 341, 1 2 1
16.64, 5.327, 286, 1 1 1
20.05, 4.428, 269, 2 0 2
26.05, 3.420, 246, 4 0 0
33.19, 2.700, 216, 3 1 3
42.65, 2.120, 179, 5 1 3
45.68, 1.986, 162, 2 3 2

***

Simulated X-ray powder pattern of UMo2O12 for a wavelength of 1.5418 Å, from a DFT-relaxed cell (GGA+U, the Materials Project).
Intensities are scaled so that the largest is 1000.

Atomic structure:
```
UMo2O12
1.0
6.694 0.000 0.000
0.000 13.540 0.000
0.000 0.000 11.592
U Mo O
4 8 48
direct
0.193 0.002 0.250 U
0.193 0.498 0.750 U
0.807 0.502 0.250 U
0.807 0.998 0.750 U
0.335 0.043 0.592 Mo
0.335 0.043 0.908 Mo
0.335 0.457 0.092 Mo
0.335 0.457 0.408 Mo
0.665 0.543 0.592 Mo
0.665 0.543 0.908 Mo
0.665 0.957 0.092 Mo
0.665 0.957 0.408 Mo
0.088 0.002 0.626 O
0.088 0.002 0.874 O
0.088 0.498 0.126 O
0.088 0.498 0.374 O
0.187 0.750 0.000 O
0.187 0.750 0.500 O
0.189 0.631 0.750 O
0.189 0.869 0.250 O
0.207 0.134 0.250 O
0.207 0.366 0.750 O
0.286 0.693 0.067 O
0.286 0.693 0.433 O
0.286 0.807 0.567 O
0.286 0.807 0.933 O
0.317 0.168 0.588 O
0.317 0.168 0.912 O
0.317 0.332 0.088 O
0.317 0.332 0.412 O
0.357 0.502 0.566 O
0.357 0.502 0.934 O
0.357 0.998 0.066 O
0.357 0.998 0.434 O
0.436 0.014 0.750 O
0.436 0.486 0.250 O
0.564 0.514 0.750 O
0.564 0.986 0.250 O
0.643 0.002 0.566 O
0.643 0.002 0.934 O
0.643 0.498 0.066 O
0.643 0.498 0.434 O
0.683 0.668 0.588 O
0.683 0.668 0.912 O
0.683 0.832 0.088 O
0.683 0.832 0.412 O
0.714 0.193 0.067 O
0.714 0.193 0.433 O
0.714 0.307 0.567 O
0.714 0.307 0.933 O
0.793 0.634 0.250 O
0.793 0.866 0.750 O
0.811 0.131 0.750 O
0.811 0.369 0.250 O
0.813 0.250 0.000 O
0.813 0.250 0.500 O
0.912 0.502 0.626 O
0.912 0.502 0.874 O
0.912 0.998 0.126 O
0.912 0.998 0.374 O
```

Most intense lines, 15° ≤ 2θ ≤ 90°, most intense first:
2θ (°), d [Å], intensity, index
27.45, 3.249, 1000, 1 1 3
20.20, 4.396, 354, 0 2 2
28.53, 3.129, 304, 2 1 1
16.64, 5.329, 271, 1 1 1
26.33, 3.385, 235, 0 4 0
26.62, 3.349, 227, 2 0 0
33.33, 2.688, 205, 1 3 3
42.98, 2.105, 194, 1 5 3

***

Simulated X-ray powder pattern of UMo2O8 for a wavelength of 1.5418 Å, from a DFT-relaxed cell (GGA+U, the Materials Project).
Intensities are scaled so that the largest is 1000.

Atomic structure:
```
UMo2O8
1.0
7.455 0.000 0.000
0.000 20.370 0.000
0.000 0.000 4.143
U Mo O
4 8 32
direct
0.250 0.013 0.000 U
0.250 0.487 0.000 U
0.750 0.513 0.000 U
0.750 0.987 0.000 U
0.001 0.660 0.088 Mo
0.001 0.840 0.912 Mo
0.499 0.660 0.912 Mo
0.499 0.840 0.088 Mo
0.501 0.160 0.912 Mo
0.501 0.340 0.088 Mo
0.999 0.160 0.088 Mo
0.999 0.340 0.912 Mo
0.000 0.159 0.508 O
0.000 0.341 0.492 O
0.000 0.659 0.508 O
0.000 0.841 0.492 O
0.040 0.562 0.008 O
0.040 0.938 0.992 O
0.064 0.250 0.000 O
0.250 0.014 0.500 O
0.250 0.129 0.000 O
0.250 0.371 0.000 O
0.250 0.486 0.500 O
0.250 0.674 0.000 O
0.250 0.826 0.000 O
0.436 0.250 0.000 O
0.460 0.562 0.992 O
0.460 0.938 0.008 O
0.500 0.159 0.492 O
0.500 0.341 0.508 O
0.500 0.659 0.492 O
0.500 0.841 0.508 O
0.540 0.062 0.992 O
0.540 0.438 0.008 O
0.564 0.750 0.000 O
0.750 0.174 0.000 O
0.750 0.326 0.000 O
0.750 0.514 0.500 O
0.750 0.629 0.000 O
0.750 0.871 0.000 O
0.750 0.986 0.500 O
0.936 0.750 0.000 O
0.960 0.062 0.008 O
0.960 0.438 0.992 O
```

Most intense lines, 15° ≤ 2θ ≤ 90°, most intense first:
2θ (°), d [Å], intensity, index
21.45, 4.143, 1000, 0 0 1
25.45, 3.500, 726, 2 2 0
26.25, 3.395, 583, 0 6 0
29.70, 3.008, 565, 2 4 0
33.52, 2.674, 424, 2 2 1
36.93, 2.434, 339, 2 4 1
34.15, 2.626, 295, 0 6 1
53.97, 1.699, 196, 4 0 1

***

Simulated X-ray powder pattern of U2MoO8 for a wavelength of 1.5418 Å, from a DFT-relaxed cell (GGA+U, the Materials Project).
Intensities are scaled so that the largest is 1000.

Atomic structure:
```
U2MoO8
1.0
4.150 0.000 0.000
0.000 23.840 0.000
-0.057 0.000 6.651
U Mo O
8 4 32
direct
0.002 0.213 0.168 U
0.002 0.287 0.668 U
0.007 0.120 0.696 U
0.007 0.380 0.196 U
0.993 0.620 0.804 U
0.993 0.880 0.304 U
0.998 0.713 0.332 U
0.998 0.787 0.832 U
0.086 0.548 0.334 Mo
0.086 0.952 0.834 Mo
0.914 0.048 0.166 Mo
0.914 0.452 0.666 Mo
0.001 0.187 0.466 O
0.001 0.313 0.966 O
0.002 0.208 0.842 O
0.002 0.292 0.342 O
0.008 0.068 0.453 O
0.008 0.432 0.953 O
0.008 0.536 0.638 O
0.008 0.964 0.138 O
0.009 0.126 0.083 O
0.009 0.374 0.583 O
0.494 0.045 0.182 O
0.494 0.455 0.682 O
0.495 0.622 0.791 O
0.495 0.878 0.291 O
0.499 0.715 0.334 O
0.499 0.785 0.834 O
0.501 0.215 0.166 O
0.501 0.285 0.666 O
0.505 0.122 0.709 O
0.505 0.378 0.209 O
0.506 0.545 0.318 O
0.506 0.955 0.818 O
0.991 0.626 0.417 O
0.991 0.874 0.917 O
0.992 0.036 0.862 O
0.992 0.464 0.362 O
0.992 0.568 0.047 O
0.992 0.932 0.547 O
0.998 0.708 0.658 O
0.998 0.792 0.158 O
0.999 0.687 0.034 O
0.999 0.813 0.534 O
```

Most intense lines, 15° ≤ 2θ ≤ 90°, most intense first:
2θ (°), d [Å], intensity, index
21.41, 4.150, 1000, 1 0 0
26.13, 3.411, 971, 0 6 1
27.07, 3.293, 346, 0 1 2
33.95, 2.641, 345, 1 6 -1
34.10, 2.630, 279, 1 6 1
26.81, 3.325, 212, 0 0 2
43.62, 2.075, 189, 2 0 0
34.65, 2.589, 180, 1 1 -2

***

Simulated X-ray powder pattern of U2MoO8 for a wavelength of 1.5418 Å, from a DFT-relaxed cell (GGA+U, the Materials Project).
Intensities are scaled so that the largest is 1000.

Atomic structure:
```
U2MoO8
1.0
4.142 0.000 0.000
0.024 6.665 0.000
0.021 0.052 23.739
U Mo O
8 4 32
direct
0.000 0.000 0.000 U
0.000 0.027 0.166 U
0.006 0.886 0.500 U
0.007 0.499 0.259 U
0.990 0.385 0.759 U
0.991 0.858 0.666 U
0.999 0.358 0.593 U
0.999 0.527 0.093 U
0.085 0.856 0.832 Mo
0.906 0.530 0.928 Mo
0.918 0.358 0.428 Mo
0.919 0.027 0.331 Mo
0.000 0.055 0.416 O
0.000 0.330 0.343 O
0.001 0.612 0.006 O
0.001 0.728 0.192 O
0.005 0.553 0.843 O
0.005 0.740 0.311 O
0.007 0.644 0.448 O
0.008 0.109 0.253 O
0.011 0.275 0.506 O
0.486 0.516 0.925 O
0.489 0.399 0.758 O
0.491 0.857 0.664 O
0.499 0.014 0.334 O
0.499 0.357 0.595 O
0.499 0.371 0.425 O
0.499 0.528 0.095 O
0.500 0.028 0.164 O
0.501 0.986 0.002 O
0.504 0.870 0.834 O
0.506 0.900 0.502 O
0.507 0.485 0.258 O
0.986 0.832 0.916 O
0.989 0.773 0.753 O
0.992 0.142 0.811 O
0.992 0.158 0.692 O
0.994 0.531 0.672 O
0.997 0.031 0.587 O
0.997 0.658 0.567 O
0.997 0.854 0.087 O
0.998 0.243 0.948 O
0.999 0.227 0.068 O
0.999 0.354 0.172 O
```

Most intense lines, 15° ≤ 2θ ≤ 90°, most intense first:
2θ (°), d [Å], intensity, index
21.45, 4.142, 1000, 1 0 0
26.19, 3.402, 949, 0 1 6
34.09, 2.630, 460, 1 1 6
27.02, 3.300, 369, 0 2 1
26.75, 3.333, 198, 0 2 0
34.67, 2.587, 193, 1 2 -1
43.71, 2.071, 190, 2 0 0
23.00, 3.867, 166, 0 1 -5